Starting from a crystal structure in Alexandria, relaxed with PBE, the powder X-ray diffraction pattern of ZrTl2As was computed for Cu Ka.
Peak positions follow from Bragg's law for the DFT cell and can differ from measured ones.

Structural model:
```
8
Lattice="16.3283 0.0000 0.0000 0.0000 3.5546 0.0000 -0.9434 0.0000 3.8458" Properties=species:S:1:pos:R:3 pbc="T T T"
Zr 0.0000 0.0000 0.0000
Zr 8.1641 1.7773 0.0000
Tl 2.7662 1.7773 0.6904
Tl 4.4546 0.0000 3.1554
Tl 10.9303 0.0000 0.6904
Tl 12.6187 1.7773 3.1554
As -0.4717 1.7773 1.9229
As 7.6925 0.0000 1.9229
```

The 10 most intense peaks (2θ from 15° to 90°), in order of rising 2θ:
23.2 deg, d = 3.842 Å, rel. 29.2; 28.1 deg, d = 3.176 Å, rel. 35.7; 28.2 deg, d = 3.162 Å, rel. 35.3; 30.3 deg, d = 2.950 Å, rel. 69.7; 33.9 deg, d = 2.644 Å, rel. 60.4; 35.8 deg, d = 2.509 Å, rel. 100.0; 38.0 deg, d = 2.367 Å, rel. 22.1; 45.8 deg, d = 1.980 Å, rel. 25.4; 58.1 deg, d = 1.588 Å, rel. 29.5; 58.2 deg, d = 1.584 Å, rel. 22.8